Record 1
This entry pairs a crystal structure of PrMnTe3 with its simulated PXRD pattern. Radiation: Cu Kα (weighted mean of Kα1 and Kα2). Structure: a cell relaxed with PBE.

The 10 most intense peaks (10 to 90 degrees two-theta), in order of rising 2θ:
d/Å  I/Imax
3.279  70
3.175  34
3.155  100
2.824  32
2.796  52
2.628  36
2.620  74
2.430  99
2.377  42
1.565  26

Crystal structure
```
PrMnTe3
1.0
12.440 0.000 0.000
0.000 7.715 0.000
0.000 0.000 6.259
Pr Mn Te
4 4 12
Direct
0.165 0.053 0.250
0.165 0.447 0.750
0.835 0.553 0.250
0.835 0.947 0.750
0.424 0.250 0.000
0.424 0.250 0.500
0.576 0.750 0.000
0.576 0.750 0.500
0.035 0.750 0.000
0.035 0.750 0.500
0.263 0.070 0.750
0.263 0.430 0.250
0.419 0.566 0.750
0.419 0.934 0.250
0.581 0.066 0.750
0.581 0.434 0.250
0.737 0.570 0.750
0.737 0.930 0.250
0.965 0.250 0.000
0.965 0.250 0.500
```

=====

Record 2
This entry pairs a crystal structure of PrYMn with its simulated PXRD pattern. Radiation: Cu Kα (weighted mean of Kα1 and Kα2). Structure: a cell relaxed with PBE.

The 10 most intense peaks (10 to 90 degrees two-theta), in order of rising 2θ:
d/Å  I/Imax
3.450  29
3.254  17
2.761  100
2.530  50
2.105  16
1.997  17
1.789  17
1.650  10
1.501  30
1.369  10

Crystal structure
```
PrYMn
1.0
-1.789 1.789 6.509
1.789 -1.789 6.509
1.789 1.789 -6.509
Pr Y Mn
1 1 1
Direct
0.000 0.000 0.000
0.274 0.274 0.000
0.643 0.643 0.000
```

=====

Record 3
This entry pairs a crystal structure of Mn3Pt4 with its simulated PXRD pattern. Radiation: Cu Kα (weighted mean of Kα1 and Kα2). Structure: a cell relaxed with PBE.

The 10 most intense peaks (10 to 90 degrees two-theta), in order of rising 2θ:
d/Å  I/Imax
3.607  29
2.760  38
2.273  54
2.247  56
2.198  100
2.164  100
1.598  42
1.288  18
1.283  17
1.281  19

Crystal structure
```
Mn3Pt4
1.0
3.711 -2.247 0.000
3.711 2.247 0.000
-2.876 0.000 6.397
Mn Pt
3 4
Direct
0.000 0.000 0.000
0.434 0.434 0.285
0.566 0.566 0.715
0.138 0.138 0.405
0.286 0.286 0.864
0.714 0.714 0.136
0.862 0.862 0.595
```

=====

Record 4
This entry pairs a crystal structure of Mn2Pt3 with its simulated PXRD pattern. Radiation: Cu Kα (weighted mean of Kα1 and Kα2). Structure: a cell relaxed with PBE.

The 10 most intense peaks (10 to 90 degrees two-theta), in order of rising 2θ:
d/Å  I/Imax
3.651  30
2.551  34
2.231  99
2.185  100
1.561  32
1.297  14
1.270  32
1.262  17
1.256  13
1.093  11

Crystal structure
```
Mn2Pt3
1.0
2.185 1.262 4.603
-2.185 1.262 4.603
0.000 -2.524 4.603
Mn Pt
2 3
Direct
0.099 0.099 0.099
0.901 0.901 0.901
0.289 0.289 0.289
0.500 0.500 0.500
0.711 0.711 0.711
```

=====

Record 5
This entry pairs a crystal structure of MnPt3 with its simulated PXRD pattern. Radiation: Cu Kα (weighted mean of Kα1 and Kα2). Structure: a cell relaxed with PBE.

The 10 most intense peaks (10 to 90 degrees two-theta), in order of rising 2θ:
d/Å  I/Imax
3.311  15
2.779  6
2.407  24
2.281  27
2.129  100
1.656  15
1.390  17
1.286  20
1.187  21
1.164  15

Crystal structure
```
MnPt3
1.0
5.559 0.000 0.000
-2.779 4.814 0.000
0.000 0.000 4.562
Mn Pt
2 6
Direct
0.333 0.667 0.250
0.667 0.333 0.750
0.167 0.333 0.750
0.167 0.833 0.750
0.333 0.167 0.250
0.667 0.833 0.750
0.833 0.167 0.250
0.833 0.667 0.250
```

=====

Record 6
This entry pairs a crystal structure of Mn5Pt with its simulated PXRD pattern. Radiation: Cu Kα (weighted mean of Kα1 and Kα2). Structure: a cell relaxed with PBE.

The 10 most intense peaks (10 to 90 degrees two-theta), in order of rising 2θ:
d/Å  I/Imax
5.626  22
3.437  15
3.037  11
2.489  14
2.110  100
1.875  17
1.804  30
1.300  19
1.123  12
1.092  23

Crystal structure
```
Mn5Pt
1.0
1.805 -5.626 0.000
1.805 5.626 0.000
0.000 0.000 3.608
Mn Pt
5 1
Direct
0.000 0.000 0.000
0.169 0.831 0.500
0.331 0.669 0.000
0.669 0.331 0.000
0.831 0.169 0.500
0.500 0.500 0.500
```